1.
Ac4ZnB3Rh12: simulated X-ray powder pattern (a wavelength of 1.5418 Å), based on a PBE-relaxed structure.

Structure:
```
20
Lattice="-4.431 4.431 4.431 4.431 -4.431 4.431 4.431 4.431 -4.431" Properties=species:S:1:pos:R:3 pbc="T T T"
Ac 2.215 2.215 -2.215
Ac 2.215 -2.215 2.215
Ac -2.215 2.215 2.215
Ac 2.215 2.215 2.215
Zn 0.000 0.000 0.000
B 4.431 0.000 0.000
B 0.000 4.431 0.000
B 0.000 0.000 4.431
Rh 2.433 0.000 0.000
Rh 6.428 0.000 0.000
Rh 4.431 2.215 0.000
Rh 4.431 0.000 2.215
Rh 0.000 2.433 0.000
Rh 0.000 0.000 2.433
Rh 2.215 4.431 0.000
Rh 2.215 0.000 4.431
Rh 0.000 6.428 0.000
Rh 0.000 0.000 6.428
Rh 0.000 4.431 2.215
Rh 0.000 2.215 4.431
```

Principal peaks in the range 2θ = 10–90°, low angle first:
2θ/deg	intensity
20.04	8
28.49	20
35.08	100
40.73	59
50.45	8
58.96	38
70.49	37
74.13	12

***

2.
Er2PaP3: simulated X-ray powder pattern (a wavelength of 1.5418 Å), based on a PBE-relaxed structure.

Structure:
```
12
Lattice="3.970 0.000 0.000 0.000 5.595 0.000 0.000 0.000 11.874" Properties=species:S:1:pos:R:3 pbc="T T T"
Er 0.000 0.000 1.989
Er 0.000 0.000 9.885
Er 1.985 2.797 3.948
Er 1.985 2.797 7.926
Pa 0.000 0.000 5.937
Pa 1.985 2.797 0.000
P 0.000 2.797 1.953
P 0.000 2.797 5.937
P 0.000 2.797 9.921
P 1.985 0.000 0.000
P 1.985 0.000 3.984
P 1.985 0.000 7.890
```

Principal peaks in the range 2θ = 10–90°, low angle first:
2θ/deg	intensity
27.58	97
31.95	100
45.83	61
54.23	16
54.35	32
56.87	13
73.75	16
75.96	17